Record 1
Starting from the PBE geometry in the Materials Project, the X-ray diffraction stick pattern of Ce21Fe8Bi7C12 was simulated for Cu Kα X-rays.

The 6 most intense peaks (10 to 90 degrees two-theta), in order of rising 2θ:
- 28.78 deg, rel. 100
- 31.39 deg, rel. 42
- 32.87 deg, rel. 42
- 33.35 deg, rel. 78
- 43.11 deg, rel. 38
- 47.89 deg, rel. 35

```
data_Ce21Fe8Bi7C12
_symmetry_space_group_name_H-M 'C 1 2 1'
_symmetry_Int_Tables_number 5
_symmetry_space_group_name_Hall 'C 2y'
_cell_length_a 19.742
_cell_length_b 11.395
_cell_length_c 11.397
_cell_angle_alpha 90.00
_cell_angle_beta 125.23
_cell_angle_gamma 90.00
loop_
_atom_site_label
_atom_site_type_symbol
_atom_site_fract_x
_atom_site_fract_y
_atom_site_fract_z
Ce1 Ce 0.000 0.000 0.000
Ce2 Ce 0.000 0.157 0.500
Ce3 Ce 0.000 0.314 0.000
Ce4 Ce 0.000 0.657 0.343
Ce5 Ce 0.139 0.157 0.361
Ce6 Ce 0.139 0.157 0.916
Ce7 Ce 0.139 0.435 0.639
Ce8 Ce 0.139 0.880 0.639
Ce9 Ce 0.171 0.486 0.000
Ce10 Ce 0.171 0.486 0.343
Ce11 Ce 0.171 0.828 0.343
Ce12 Ce 0.171 0.829 0.000
Fe1 Fe 0.194 0.045 0.194
Fe2 Fe 0.194 0.270 0.194
Fe3 Fe 0.194 0.657 0.581
Fe4 Fe 0.194 0.657 0.806
Bi1 Bi 0.000 0.365 0.292
Bi2 Bi 0.000 0.657 0.000
Bi3 Bi 0.000 0.949 0.292
Bi4 Bi 0.208 0.157 0.708
C1 C 0.104 0.157 0.104
C2 C 0.104 0.657 0.604
C3 C 0.250 0.011 0.104
C4 C 0.250 0.011 0.396
C5 C 0.250 0.303 0.104
C6 C 0.250 0.303 0.396
```

---

Record 2
Starting from the PBE geometry in the Materials Project, the X-ray diffraction stick pattern of CeSe2 was simulated for Cu Kα X-rays.

The 6 most intense peaks (10 to 90 degrees two-theta), in order of rising 2θ:
- 12.30 deg, rel. 65
- 14.37 deg, rel. 54
- 17.79 deg, rel. 50
- 23.27 deg, rel. 100
- 29.81 deg, rel. 48
- 31.29 deg, rel. 44

```
data_CeSe2
_symmetry_space_group_name_H-M 'P 1'
_symmetry_Int_Tables_number 1
_symmetry_space_group_name_Hall 'P 1'
_cell_length_a 7.289
_cell_length_b 7.491
_cell_length_c 10.102
_cell_angle_alpha 95.43
_cell_angle_beta 96.92
_cell_angle_gamma 104.39
loop_
_atom_site_label
_atom_site_type_symbol
_atom_site_fract_x
_atom_site_fract_y
_atom_site_fract_z
Ce1 Ce 0.000 0.000 0.000
Ce2 Ce 0.065 0.012 0.586
Ce3 Ce 0.544 0.921 0.301
Ce4 Ce 0.762 0.443 0.631
Se1 Se 0.043 0.754 0.790
Se2 Se 0.273 0.803 0.460
Se3 Se 0.360 0.125 0.136
Se4 Se 0.380 0.328 0.627
Se5 Se 0.707 0.776 0.092
Se6 Se 0.749 0.708 0.455
Se7 Se 0.858 0.220 0.421
Se8 Se 0.917 0.210 0.799
```

---

Record 3
Starting from the PBE geometry in the Materials Project, the X-ray diffraction stick pattern of AlVFe2 was simulated for Cu Kα X-rays.

The 6 most intense peaks (10 to 90 degrees two-theta), in order of rising 2θ:
- 26.39 deg, rel. 8
- 30.56 deg, rel. 2
- 43.76 deg, rel. 100
- 51.83 deg, rel. 3
- 63.62 deg, rel. 15
- 80.41 deg, rel. 29

```
data_AlVFe2
_symmetry_space_group_name_H-M 'F -4 3 m'
_symmetry_Int_Tables_number 216
_symmetry_space_group_name_Hall 'F -4 2 3'
_cell_length_a 5.851
_cell_length_b 5.851
_cell_length_c 5.851
_cell_angle_alpha 90.00
_cell_angle_beta 90.00
_cell_angle_gamma 90.00
loop_
_atom_site_label
_atom_site_type_symbol
_atom_site_fract_x
_atom_site_fract_y
_atom_site_fract_z
Al1 Al 0.000 0.000 0.000
V1 V 0.250 0.250 0.250
Fe1 Fe 0.000 0.000 0.500
Fe2 Fe 0.250 0.250 0.750
```

---

Record 4
Starting from the PBE geometry in the Materials Project, the X-ray diffraction stick pattern of BaDyTi4O12 was simulated for Cu Kα X-rays.

The 6 most intense peaks (10 to 90 degrees two-theta), in order of rising 2θ:
- 19.69 deg, rel. 100
- 32.42 deg, rel. 87
- 38.17 deg, rel. 37
- 38.31 deg, rel. 18
- 46.43 deg, rel. 27
- 57.78 deg, rel. 22

```
data_BaDyTi4O12
_symmetry_space_group_name_H-M 'P 4/m m m'
_symmetry_Int_Tables_number 123
_symmetry_space_group_name_Hall '-P 4 2'
_cell_length_a 5.532
_cell_length_b 5.532
_cell_length_c 7.786
_cell_angle_alpha 90.00
_cell_angle_beta 90.00
_cell_angle_gamma 90.00
loop_
_atom_site_label
_atom_site_type_symbol
_atom_site_fract_x
_atom_site_fract_y
_atom_site_fract_z
Ba1 Ba 0.000 0.000 0.000
Dy1 Dy 0.500 0.500 0.500
Ti1 Ti 0.000 0.500 0.252
O1 O 0.000 0.500 0.000
O2 O 0.000 0.500 0.500
O3 O 0.259 0.259 0.269
```